Simulated powder X-ray diffraction pattern of In2I3Cl for Cu Ka, from a cell relaxed with PBE.
Peak positions follow from Bragg's law for the DFT cell and can differ from measured ones.

Most intense lines, 2θ = 10–90°, low angle first:
h k l	2θ (°)	I (rel.)
0 1 2	15.18	84.1
1 1 -2	17.47	91.0
0 2 2	20.93	32.4
2 0 -2	24.56	91.9
0 0 4	25.60	71.5
0 3 1	25.75	67.8
2 1 -2	25.95	31.3
1 1 3	26.24	100.0
1 3 0	27.73	62.4
0 4 3	38.83	47.9

a = 7.596 Å, b = 10.717 Å, c = 14.286 Å
α = 90.00°, β = 103.11°, γ = 90.00°
Space group P2_1/c (No. 14)
Inequivalent atoms, fractional coordinates:
In 0.059 0.219 0.101 x4
In 0.423 0.117 0.854 x4
I 0.188 0.040 0.632 x4
I 0.279 0.082 0.244 x4
I 0.302 0.703 0.395 x4
Cl 0.087 0.154 0.942 x4